(1)
The following is a theoretical powder diffraction line list of ThIBr. It was derived from a PBE-relaxed structure, using CuKα.
Peak positions follow from Bragg's law for the DFT cell and can differ from measured ones.

Cell and atoms:
```
ThIBr
1.0
6.586 0.000 0.000
0.000 3.841 0.000
-0.316 0.000 8.878
Th I Br
2 2 2
Cartesian
1.315 0.960 8.877
4.955 2.881 0.002
2.419 2.881 6.538
3.850 0.960 2.340
0.558 2.881 2.110
5.712 0.960 6.769
```

Largest 10 diffraction maxima, by intensity, 2θ from 10° to 90°:
Position (°2θ), I (rel.)
28.55, 100.0
29.28, 52.4
34.03, 48.6
33.43, 46.9
41.24, 34.5
47.74, 28.1
40.65, 21.8
40.25, 21.2
58.48, 20.3
56.64, 19.9



(2)
The following is a theoretical powder diffraction line list of TlInCl2. It was derived from a PBE-relaxed structure, using CuKα.
Peak positions follow from Bragg's law for the DFT cell and can differ from measured ones.

Cell and atoms:
```
TlInCl2
1.0
8.018 0.000 0.000
0.000 8.520 0.000
-2.286 0.000 7.478
Tl In Cl
4 4 8
Cartesian
0.999 0.600 2.241
-0.144 3.660 5.980
5.875 4.860 1.498
4.732 7.920 5.237
1.576 4.960 2.801
0.433 7.821 6.540
5.299 0.699 0.938
4.156 3.561 4.677
0.650 6.041 0.281
-0.493 6.740 4.020
2.244 1.517 4.899
3.387 2.743 1.160
2.344 5.777 6.318
3.487 7.004 2.579
6.225 1.780 3.458
5.082 2.480 7.197
```

Largest 10 diffraction maxima, by intensity, 2θ from 10° to 90°:
Position (°2θ), I (rel.)
31.38, 100.0
23.21, 92.5
31.04, 85.5
24.04, 75.1
25.13, 58.4
21.56, 41.4
36.33, 34.4
46.54, 33.5
44.21, 30.5
36.07, 30.1



(3)
The following is a theoretical powder diffraction line list of Tb2Pm2Y6Tm. It was derived from a PBE-relaxed structure, using CuKα.
Peak positions follow from Bragg's law for the DFT cell and can differ from measured ones.

Cell and atoms:
```
Tb2Pm2Y6Tm
1.0
2.838 -6.031 0.000
2.838 6.031 0.000
0.000 0.000 10.586
Tb Pm Y Tm
2 2 6 1
Cartesian
2.838 3.529 0.000
2.838 -3.529 0.000
2.838 4.427 5.293
2.838 -4.427 5.293
0.000 0.000 2.140
0.000 0.000 8.446
2.838 1.838 3.096
2.838 1.838 7.490
2.838 -1.838 3.096
2.838 -1.838 7.490
2.838 0.000 0.000
```

Largest 10 diffraction maxima, by intensity, 2θ from 10° to 90°:
Position (°2θ), I (rel.)
32.10, 100.0
30.78, 57.2
31.52, 39.1
56.49, 25.9
33.87, 19.1
44.68, 18.4
62.14, 16.1
46.94, 15.3
62.84, 13.7
52.84, 11.6



(4)
The following is a theoretical powder diffraction line list of Pa5PS4. It was derived from a PBE-relaxed structure, using CuKα.
Peak positions follow from Bragg's law for the DFT cell and can differ from measured ones.

Cell and atoms:
```
Pa5PS4
1.0
-2.036 2.770 9.355
2.036 -2.770 9.355
2.036 2.770 -9.355
Pa P S
5 1 4
Cartesian
0.000 0.000 0.000
0.000 0.000 3.740
0.000 0.000 7.460
0.000 0.000 11.251
0.000 0.000 14.971
0.000 2.770 0.000
2.036 0.000 1.871
2.036 0.000 5.592
0.000 2.770 3.764
0.000 2.770 7.484
```

Largest 10 diffraction maxima, by intensity, 2θ from 10° to 90°:
Position (°2θ), I (rel.)
32.49, 100.0
27.17, 86.0
28.79, 74.8
46.48, 74.4
32.32, 50.8
53.86, 28.5
56.63, 24.6
56.05, 21.5
44.49, 21.1
59.63, 17.8



(5)
The following is a theoretical powder diffraction line list of Na2AcHg8. It was derived from a PBE-relaxed structure, using CuKα.
Peak positions follow from Bragg's law for the DFT cell and can differ from measured ones.

Cell and atoms:
```
Na2AcHg8
1.0
8.416 -3.111 0.000
8.416 3.111 0.000
-0.470 0.000 5.698
Na Ac Hg
2 1 8
Cartesian
3.949 0.000 1.972
12.414 0.000 3.726
8.416 0.000 0.000
1.135 0.000 5.690
6.641 1.575 2.742
4.605 0.000 4.956
9.722 1.575 2.956
6.641 -1.575 2.742
11.758 0.000 0.742
9.722 -1.575 2.956
15.228 0.000 0.007
```

Largest 10 diffraction maxima, by intensity, 2θ from 10° to 90°:
Position (°2θ), I (rel.)
32.80, 100.0
30.27, 46.5
31.40, 37.2
33.14, 26.1
47.43, 24.7
35.23, 24.2
32.35, 23.0
10.55, 22.9
27.42, 22.3
34.12, 19.7



(6)
The following is a theoretical powder diffraction line list of Nd2Zn12Au7. It was derived from a PBE-relaxed structure, using CuKα.
Peak positions follow from Bragg's law for the DFT cell and can differ from measured ones.

Cell and atoms:
```
Nd2Zn12Au7
1.0
10.482 0.000 0.000
-5.241 9.078 0.000
0.000 0.000 4.169
Nd Zn Au
2 12 7
Cartesian
0.000 6.052 1.033
5.241 3.026 3.136
-1.781 3.917 3.131
-0.150 2.390 1.000
-3.097 8.013 1.000
1.995 1.325 3.168
-0.959 8.663 3.131
2.501 3.501 1.038
2.740 5.577 3.131
6.200 0.415 1.038
3.246 7.754 1.000
8.338 1.065 3.168
5.391 6.688 3.168
7.023 5.162 1.038
0.000 0.000 2.084
-2.410 6.470 3.118
0.843 3.756 3.118
3.674 1.148 1.051
1.567 7.930 3.118
4.399 5.322 1.051
7.651 2.608 1.051
```

Largest 10 diffraction maxima, by intensity, 2θ from 10° to 90°:
Position (°2θ), I (rel.)
33.84, 100.0
25.97, 60.5
45.80, 55.9
41.92, 50.5
29.08, 37.8
43.42, 31.9
48.89, 28.4
36.70, 26.6
64.94, 25.9
27.34, 23.3



(7)
The following is a theoretical powder diffraction line list of HoFe12C6. It was derived from a PBE-relaxed structure, using CuKα.
Peak positions follow from Bragg's law for the DFT cell and can differ from measured ones.

Cell and atoms:
```
HoFe12C6
1.0
4.573 2.640 2.474
-4.573 2.640 2.474
0.000 -5.281 2.474
Ho Fe C
1 12 6
Cartesian
0.000 0.000 0.000
-1.670 -2.892 3.711
-3.339 0.000 3.711
-1.234 -0.713 2.723
1.234 -0.713 2.723
0.000 1.425 2.723
1.670 -2.892 3.711
-1.670 2.892 3.711
0.000 -1.425 4.699
-1.234 0.713 4.699
1.234 0.713 4.699
3.339 0.000 3.711
1.670 2.892 3.711
0.000 -2.317 2.798
-2.007 1.159 2.798
-2.007 -1.159 4.625
2.007 1.159 2.798
2.007 -1.159 4.625
0.000 2.317 4.625
```

Largest 10 diffraction maxima, by intensity, 2θ from 10° to 90°:
Position (°2θ), I (rel.)
42.93, 100.0
41.50, 64.1
33.08, 39.5
33.95, 34.6
48.13, 26.3
60.76, 23.1
50.55, 22.8
32.24, 19.9
65.91, 19.7
54.64, 18.1



(8)
The following is a theoretical powder diffraction line list of Ac8Sm3Ho2. It was derived from a PBE-relaxed structure, using CuKα.
Peak positions follow from Bragg's law for the DFT cell and can differ from measured ones.

Cell and atoms:
```
Ac8Sm3Ho2
1.0
7.241 0.000 0.000
-0.871 7.341 0.000
-2.043 -2.625 9.999
Ac Sm Ho
8 3 2
Cartesian
-0.177 2.010 0.648
-0.494 -1.190 7.135
-0.151 2.582 6.671
1.157 4.543 3.483
3.171 0.173 6.516
4.478 2.133 3.328
4.821 5.906 2.864
4.505 2.705 9.350
2.569 -0.225 1.092
3.185 3.670 0.000
1.759 4.941 8.906
0.916 0.861 3.869
3.411 3.854 6.130
```

Largest 10 diffraction maxima, by intensity, 2θ from 10° to 90°:
Position (°2θ), I (rel.)
28.88, 100.0
29.71, 87.9
27.62, 83.8
28.77, 70.2
28.58, 54.1
26.75, 50.7
30.46, 34.8
26.46, 32.4
32.45, 22.1
26.88, 21.2